Calculated X-ray powder pattern
Compound: Mn4WF12
Radiation: Cu Kα, 1.54184 Å
Structure: a GGA+U-relaxed structure

Atomic structure:
a = 7.082 Å, b = 7.082 Å, c = 7.082 Å
α = 107.24°, β = 107.24°, γ = 114.03°
Element x y z (fractional)
Mn (0.000, 0.000, 0.500)
Mn (0.000, 0.500, 0.000)
Mn (0.500, 0.000, 0.000)
Mn (0.500, 0.500, 0.500)
W (0.000, 0.000, 0.000)
F (0.046, 0.838, 0.208)
F (0.162, 0.369, 0.208)
F (0.162, 0.954, 0.792)
F (0.301, 0.301, 0.601)
F (0.301, 0.699, 0.000)
F (0.369, 0.162, 0.208)
F (0.631, 0.838, 0.792)
F (0.699, 0.301, 0.000)
F (0.699, 0.699, 0.399)
F (0.838, 0.046, 0.208)
F (0.838, 0.631, 0.792)
F (0.954, 0.162, 0.792)

Largest 10 diffraction maxima, low angle first, 2θ from 10° to 90°:
14.91°, I = 68.2
15.60°, I = 100.0
26.39°, I = 40.2
30.09°, I = 24.0
31.49°, I = 47.4
34.06°, I = 22.6
42.61°, I = 22.0
43.07°, I = 25.4
54.32°, I = 27.4
56.94°, I = 20.0